Sr2CuSO2: calculated powder diffraction line list (Cu Kα), based on the GGA-PBE geometry in the Materials Project.
Intensities are scaled so that the largest is 100.

Atomic structure:
```
data_Sr2CuSO2
_symmetry_space_group_name_H-M 'P 4/m m m'
_symmetry_Int_Tables_number 123
_symmetry_space_group_name_Hall '-P 4 2'
_cell_length_a 3.9023
_cell_length_b 3.9023
_cell_length_c 6.8813
_cell_angle_alpha 90.00
_cell_angle_beta 90.00
_cell_angle_gamma 90.00
loop_
_atom_site_label
_atom_site_fract_x
_atom_site_fract_y
_atom_site_fract_z
Sr1 0.0000 0.0000 0.2492
Cu1 0.5000 0.5000 0.0000
S1 0.5000 0.5000 0.5000
O1 0.0000 0.5000 0.0000
```

Principal peaks in the range 2θ from 15° to 90°, by angle:
| 2θ/deg | d_spacing | I/Imax |
| --- | --- | --- |
| 22.8 | 3.902 | 10 |
| 32.4 | 2.759 | 47 |
| 34.8 | 2.581 | 100 |
| 42.0 | 2.153 | 9 |
| 46.5 | 1.951 | 26 |
| 53.2 | 1.720 | 9 |
| 59.4 | 1.556 | 40 |
| 63.8 | 1.460 | 13 |
| 73.4 | 1.290 | 13 |
| 78.6 | 1.217 | 9 |